HoPaTeIr: simulated XRD peak list (a wavelength of 1.5418 Å), based on a PBE-relaxed structure.
Peak positions follow from Bragg's law for the DFT cell and can differ from measured ones.

Principal peaks in the range 10° ≤ 2θ ≤ 90°, in order of falling intensity:
2θ/deg, d [Å], I (rel.)
32.32, 2.770, 1000
44.57, 2.033, 481
26.53, 3.360, 340
11.83, 7.478, 286
37.96, 2.370, 254
48.09, 1.892, 225
56.12, 1.639, 213
74.34, 1.276, 186
29.96, 2.982, 119
68.14, 1.376, 117

Atomic structure:
Cell lengths 7.8381, 7.8381, 7.8381 Å; angles 30.07, 30.07, 30.07 degrees
Fractional positions:
1 Ho 0.0000 0.0000 0.0000
2 Pa 0.8029 0.8029 0.8029
3 Te 0.2348 0.2348 0.2348
4 Ir 0.4068 0.4068 0.4068